For K6Co2O5, a DFT-relaxed cell (PBE+U, Alexandria) gives the computed PXRD pattern in this record (Cu Kα, 1.54184 Å).
No peak broadening, texture or thermal motion is included.

Cell and atoms:
```
26
Lattice="6.668 0.000 0.000 0.000 6.668 0.000 0.000 0.000 11.990" Properties=species:S:1:pos:R:3 pbc="T T T"
K 0.000 0.000 2.623
K 0.000 0.000 9.367
K 0.000 3.334 2.998
K 0.000 3.334 8.993
K 1.210 1.210 5.995
K 2.125 4.544 0.000
K 3.334 0.000 2.998
K 3.334 0.000 8.993
K 3.334 3.334 3.372
K 3.334 3.334 8.618
K 4.544 2.125 0.000
K 5.459 5.459 5.995
Co 1.383 1.383 0.000
Co 1.951 4.717 5.995
Co 4.717 1.951 5.995
Co 5.285 5.285 0.000
O 0.000 0.000 0.000
O 1.401 5.267 4.341
O 1.401 5.267 7.649
O 1.933 1.933 1.654
O 1.933 1.933 10.336
O 3.334 3.334 5.995
O 4.735 4.735 1.654
O 4.735 4.735 10.336
O 5.267 1.401 4.341
O 5.267 1.401 7.649
```

Principal peaks in the range 10 to 90 degrees two-theta, in order of rising 2θ:
2theta  I (rel.)  hkl
20.2  28  1 1 1
29.8  28  0 0 4
30.7  100  2 0 2
33.6  28  2 1 2
38.2  40  2 2 0
42.8  19  2 1 4
49.2  16  2 2 4
53.5  17  2 0 6
59.2  11  4 1 2
65.6  11  4 1 4